[1]
Starting from a structure optimized by DFT (PBE), the XRD peak list of K2LaMnRu was computed for a wavelength of 1.5418 Å.

Structure:
```
data_K2LaMnRu
_chemical_formula_sum 'K2 La1 Mn1 Ru1'
_space_group_name_H-M_alt 'P 4/m m m'
_space_group_IT_number 123
_space_group_name_Hall '-P 4 2'
_cell_length_a 6.560
_cell_length_b 6.560
_cell_length_c 4.457
_cell_angle_alpha 90.00
_cell_angle_beta 90.00
_cell_angle_gamma 90.00
loop_
_atom_site_label
_atom_site_type_symbol
_atom_site_fract_x
_atom_site_fract_y
_atom_site_fract_z
K1 K 0.000 0.500 0.000
La1 La 0.000 0.000 0.000
Mn1 Mn 0.000 0.000 0.500
Ru1 Ru 0.500 0.500 0.500
```

Top 6 peaks for 5° ≤ 2θ ≤ 70°, most intense first:
(2 0 0), 2θ = 27.19°, 3.280 Å, I 100; (1 1 0), 2θ = 19.13°, 4.639 Å, I 74; (1 0 1), 2θ = 24.14°, 3.687 Å, I 62; (2 1 1), 2θ = 36.67°, 2.451 Å, I 42; (2 2 0), 2θ = 38.83°, 2.319 Å, I 37; (2 0 2), 2θ = 49.44°, 1.843 Å, I 36

---

[2]
Starting from a structure optimized by DFT (PBE), the XRD peak list of K3La3MnTe8 was computed for a wavelength of 1.5418 Å.

Structure:
```
data_K3La3MnTe8
_chemical_formula_sum 'K9 La9 Mn3 Te24'
_space_group_name_H-M_alt 'R -3 m'
_space_group_IT_number 166
_space_group_name_Hall '-R 3 2"'
_cell_length_a 9.1387
_cell_length_b 9.1387
_cell_length_c 25.1478
_cell_angle_alpha 90.00
_cell_angle_beta 90.00
_cell_angle_gamma 120.00
loop_
_atom_site_label
_atom_site_type_symbol
_atom_site_fract_x
_atom_site_fract_y
_atom_site_fract_z
K1 K 0.0000 0.5000 0.0000
La1 La 0.0000 0.5000 0.5000
Mn1 Mn 0.0000 0.0000 0.5000
Te1 Te 0.0000 0.0000 0.2397
Te2 Te 0.0426 0.5213 0.2309
```

Top 6 peaks for 5° ≤ 2θ ≤ 70°, most intense first:
(0 2 4), 2θ = 26.62°, 3.349 Å, I 100; (0 0 3), 2θ = 10.55°, 8.383 Å, I 55; (2 2 0), 2θ = 39.44°, 2.285 Å, I 34; (2 0 8), 2θ = 36.51°, 2.461 Å, I 30; (0 2 7), 2θ = 33.70°, 2.660 Å, I 24; (4 0 4), 2θ = 48.22°, 1.887 Å, I 15